Computed PXRD pattern of Sm2Y6HoEr2 for λ = 1.5418 Å (Cu Kα), from the GGA-PBE geometry in Alexandria.

The 8 most intense peaks (15 to 90 degrees two-theta), low angle first:
2θ = 30.7°, rel. 26
2θ = 30.9°, rel. 22
2θ = 31.6°, rel. 37
2θ = 32.2°, rel. 100
2θ = 33.8°, rel. 20
2θ = 44.8°, rel. 16
2θ = 47.0°, rel. 16
2θ = 56.7°, rel. 26

Structural model:
Cell: 6.644 6.644 10.611 Å, 90.02 90.02 129.61°
Element x y z (fractional)
Sm: 0.135 0.865 0.000
Sm: 0.865 0.135 0.000
Y: 0.000 0.000 0.295
Y: 0.000 0.000 0.705
Y: 0.346 0.653 0.789
Y: 0.347 0.654 0.211
Y: 0.653 0.346 0.789
Y: 0.654 0.347 0.211
Ho: 0.500 0.500 0.500
Er: 0.204 0.796 0.500
Er: 0.796 0.204 0.500


Computed PXRD pattern of LiCaAg2Cl5 for λ = 1.5418 Å (Cu Kα), from the GGA-PBE geometry in Alexandria.

The 8 most intense peaks (15 to 90 degrees two-theta), low angle first:
2θ = 16.3°, rel. 47
2θ = 21.7°, rel. 78
2θ = 22.5°, rel. 49
2θ = 29.8°, rel. 100
2θ = 33.2°, rel. 54
2θ = 34.4°, rel. 41
2θ = 39.2°, rel. 52
2θ = 50.3°, rel. 50

Structural model:
Cell: 8.973 8.973 13.879 Å, 90.00 90.00 153.91°
Element x y z (fractional)
Li: 0.068 0.932 0.500
Li: 0.932 0.068 0.000
Ca: 0.219 0.781 0.059
Ca: 0.781 0.219 0.559
Ag: 0.431 0.569 0.372
Ag: 0.432 0.568 0.704
Ag: 0.568 0.432 0.204
Ag: 0.569 0.431 0.872
Cl: 0.020 0.980 0.333
Cl: 0.057 0.943 0.074
Cl: 0.281 0.719 0.691
Cl: 0.295 0.705 0.423
Cl: 0.373 0.627 0.041
Cl: 0.627 0.373 0.541
Cl: 0.705 0.295 0.923
Cl: 0.719 0.281 0.191
Cl: 0.943 0.057 0.574
Cl: 0.980 0.020 0.833


Computed PXRD pattern of AlCd2Sn for λ = 1.5418 Å (Cu Kα), from the GGA-PBE geometry in Alexandria.

The 8 most intense peaks (15 to 90 degrees two-theta), low angle first:
2θ = 22.9°, rel. 55
2θ = 24.8°, rel. 21
2θ = 31.4°, rel. 64
2θ = 35.7°, rel. 100
2θ = 39.0°, rel. 91
2θ = 53.9°, rel. 30
2θ = 65.8°, rel. 22
2θ = 68.5°, rel. 29

Structural model:
Cell: 6.018 6.018 6.018 Å, 45.16 45.16 45.16°
Element x y z (fractional)
Al: 0.000 0.000 0.000
Cd: 0.409 0.409 0.409
Cd: 0.609 0.609 0.609
Sn: 0.182 0.182 0.182